This entry pairs a crystal structure of TmSc7Tl2 with its computed X-ray diffraction stick pattern. Radiation: Cu Kα X-rays. Structure: a cell relaxed with PBE.

Crystal structure
a = 8.454 Å, b = 8.454 Å, c = 5.094 Å
α = 90.00°, β = 90.00°, γ = 120.46°
Element x y z (fractional)
Tm 0.000 0.000 0.000
Sc 0.058 0.296 0.500
Sc 0.223 0.777 0.000
Sc 0.296 0.058 0.500
Sc 0.500 0.500 0.500
Sc 0.704 0.942 0.500
Sc 0.777 0.223 0.000
Sc 0.942 0.704 0.500
Tl 0.305 0.695 0.500
Tl 0.695 0.305 0.500

Principal peaks in the range 10° ≤ 2θ ≤ 90°, low angle first:
2θ = 17.41°, I = 32.3; 2θ = 21.02°, I = 40.2; 2θ = 21.19°, I = 83.4; 2θ = 21.28°, I = 54.4; 2θ = 30.16°, I = 30.9; 2θ = 32.38°, I = 30.2; 2θ = 35.24°, I = 32.0; 2θ = 36.95°, I = 100.0; 2θ = 37.16°, I = 34.4; 2θ = 41.43°, I = 33.6